The following is a simulated powder diffractogram of CoPO4. It was derived from a GGA+U-relaxed structure, using Cu Kα (λ = 1.5418 Å).
No peak broadening, texture or thermal motion is included.

Most intense lines, 2θ from 5° to 70°, low angle first:
hkl	Position (°2θ)	I_rel
0 1 2	21.0	1000
2 0 2	21.2	960
2 0 3	25.5	77
2 1 3	30.7	91
0 2 0	33.9	177
4 0 0	34.2	182
2 1 4	35.2	190
2 0 5	36.3	72
2 2 2	40.3	141
4 1 2	40.5	76

```
CoPO4
1.0
10.486 0.000 0.000
0.000 5.294 0.000
0.000 0.000 14.015
Co P O
8 8 32
Cartesian
0.329 0.273 0.000
2.385 2.942 3.495
2.858 2.942 10.502
4.914 0.273 7.007
5.572 5.022 0.000
7.628 2.352 3.495
8.101 2.352 10.502
10.157 5.022 7.007
0.238 2.370 8.747
2.308 0.311 5.280
2.935 0.311 12.287
5.005 2.370 1.740
5.481 2.925 8.747
7.551 4.983 5.280
8.178 4.983 12.287
10.248 2.925 1.740
0.061 0.873 8.401
0.152 2.052 0.520
0.618 2.605 2.991
0.802 0.222 5.627
1.731 2.607 9.077
2.101 5.216 13.534
2.534 1.754 11.893
2.585 4.683 4.066
2.658 4.683 11.074
2.709 1.754 4.886
3.141 5.216 6.527
3.512 2.607 2.070
4.441 0.222 12.634
4.625 2.605 9.999
5.091 2.052 7.528
5.182 0.873 1.394
5.304 4.422 8.401
5.395 3.242 0.520
5.861 2.689 2.991
6.045 5.072 5.627
6.974 2.687 9.077
7.344 0.078 13.534
7.777 3.540 11.893
7.828 0.612 4.066
7.901 0.612 11.074
7.952 3.540 4.886
8.384 0.078 6.527
8.755 2.687 2.070
9.684 5.072 12.634
9.868 2.689 9.999
10.334 3.242 7.528
10.425 4.422 1.394
```